Simulated X-ray diffraction stick pattern
Compound: Ba2CoN2
Radiation: copper Kα
Structure: a cell relaxed with GGA-PBE
Lines closer than 0.1° are merged.

Crystal structure
```
5
Lattice="-2.060 2.060 6.440 2.060 -2.060 6.440 2.060 2.060 -6.440" Properties=species:S:1:pos:R:3 pbc="T T T"
Ba 0.000 0.000 1.827
Ba 0.000 0.000 11.053
Co 0.000 0.000 6.440
N 0.000 0.000 4.720
N 0.000 0.000 8.160
```

Principal peaks in the range 10 to 80 degrees two-theta, low angle first:
two_theta  I_rel
22.66  18
27.70  17
30.06  100
30.70  79
41.82  22
43.96  28
52.76  11
52.99  13
54.18  38
63.93  9
66.34  9
72.59  20